This entry pairs a crystal structure of K2Si7Pt12 with its calculated PXRD pattern. Radiation: copper Kα. Structure: DFT lattice parameters and positions (GGA-PBE).
Neutral-atom scattering factors, no anomalous dispersion.

Main lines, sorted by position (2θ = 10–90°):
| d_spacing | Rel. int. |
| --- | --- |
| 5.039 | 24 |
| 3.299 | 20 |
| 2.520 | 100 |
| 2.058 | 21 |
| 2.002 | 26 |
| 1.905 | 28 |

Structural model:
```
data_K2Si7Pt12
_symmetry_space_group_name_H-M 'P -6'
_symmetry_Int_Tables_number 174
_cell_length_a 10.0781
_cell_length_b 10.0781
_cell_length_c 3.9062
_cell_angle_alpha 90.00
_cell_angle_beta 90.00
_cell_angle_gamma 120.00
loop_
_symmetry_equiv_pos_as_xyz
'x,y,z'
'-x+y,-x,-z'
'-y,x-y,z'
'x,y,-z'
'-x+y,-x,z'
'-y,x-y,-z'
loop_
_atom_site_label
_atom_site_fract_x
_atom_site_fract_y
_atom_site_fract_z
_atom_site_occupancy
K1 0.0000 0.0000 0.0000 1
K2 0.3333 0.6667 0.5000 1
Si1 0.0716 0.4500 0.0000 1
Si2 0.2647 0.2212 0.5000 1
Si3 0.6667 0.3333 0.0000 1
Pt1 0.0502 0.2730 0.5000 1
Pt2 0.1094 0.7132 0.0000 1
Pt3 0.3997 0.1805 0.0000 1
Pt4 0.5238 0.4426 0.5000 1
```